The following is a simulated powder X-ray diffraction pattern of Cs2CoSiO4. It was derived from a structure optimized by DFT (PBE+U), using Cu Kα (weighted mean of Kα1 and Kα2).

The 8 most intense peaks (2θ = 15–90°), by angle:
(1 1 2), 2θ 27.73, intensity 62; (1 3 1), 2θ 28.79, intensity 100; (2 0 0), 2θ 30.65, intensity 40; (0 4 1), 2θ 31.10, intensity 21; (0 2 3), 2θ 36.25, intensity 27; (2 2 3), 2θ 48.18, intensity 14; (3 3 1), 2θ 53.35, intensity 17; (2 4 3), 2θ 55.08, intensity 19

Structural model:
Cell lengths 5.834, 12.300, 8.124 Å; angles 90.00, 90.00, 90.00 degrees
Space group Cmc2_1 (No. 36)
Inequivalent atoms, fractional coordinates:
Cs  0.000  0.073  0.000
Cs  0.000  0.408  0.148
Co  0.000  0.205  0.421
Si  0.000  0.303  0.708
O  0.000  0.171  0.668
O  0.000  0.357  0.519
O  0.229  0.344  0.809